[1]
Computed PXRD pattern of B2H5 for Cu Kα (λ = 1.5418 Å), from a structure optimized by DFT (PBE).
No peak broadening, texture or thermal motion is included.

Most intense lines, 15 to 90 degrees two-theta, low angle first:
| d [Å] | I (rel.) |
| --- | --- |
| 5.404 | 16.3 |
| 5.065 | 7.8 |
| 4.900 | 37.0 |
| 4.768 | 38.2 |
| 4.341 | 100.0 |
| 4.214 | 70.1 |
| 3.850 | 69.7 |
| 3.695 | 7.8 |
| 3.664 | 12.8 |
| 2.522 | 7.4 |

a b c (Å): 5.827 10.129 9.086
angles (deg): 90.00 111.96 90.00
Fractional coordinates of all 56 atoms:
B  0.056  0.203  0.380
B  0.056  0.297  0.880
B  0.106  0.587  0.278
B  0.106  0.913  0.778
B  0.253  0.731  0.270
B  0.253  0.769  0.770
B  0.399  0.576  0.248
B  0.399  0.924  0.748
B  0.601  0.076  0.252
B  0.601  0.424  0.752
B  0.747  0.231  0.230
B  0.747  0.269  0.730
B  0.894  0.087  0.222
B  0.894  0.413  0.722
B  0.944  0.703  0.120
B  0.944  0.797  0.620
H  0.071  0.567  0.397
H  0.071  0.933  0.897
H  0.077  0.179  0.514
H  0.077  0.321  0.014
H  0.092  0.071  0.343
H  0.092  0.429  0.843
H  0.137  0.705  0.644
H  0.137  0.795  0.144
H  0.207  0.012  0.741
H  0.207  0.488  0.241
H  0.219  0.235  0.862
H  0.219  0.265  0.362
H  0.308  0.700  0.884
H  0.308  0.800  0.384
H  0.395  0.546  0.118
H  0.395  0.954  0.618
H  0.427  0.042  0.139
H  0.427  0.458  0.639
H  0.436  0.712  0.229
H  0.436  0.788  0.729
H  0.564  0.212  0.271
H  0.564  0.288  0.771
H  0.573  0.542  0.361
H  0.573  0.958  0.861
H  0.605  0.046  0.382
H  0.605  0.454  0.882
H  0.692  0.200  0.616
H  0.692  0.300  0.116
H  0.781  0.735  0.638
H  0.781  0.765  0.138
H  0.793  0.512  0.759
H  0.793  0.988  0.259
H  0.863  0.205  0.856
H  0.863  0.295  0.356
H  0.908  0.571  0.157
H  0.908  0.929  0.657
H  0.923  0.679  0.986
H  0.923  0.821  0.486
H  0.929  0.067  0.103
H  0.929  0.433  0.603

[2]
Computed PXRD pattern of BH3 for Cu Kα (λ = 1.5418 Å), from a structure optimized by DFT (PBE).
No peak broadening, texture or thermal motion is included.

Most intense lines, 15 to 90 degrees two-theta, low angle first:
| d [Å] | I (rel.) |
| --- | --- |
| 4.179 | 68.8 |
| 3.810 | 30.7 |
| 3.487 | 100.0 |
| 3.195 | 28.3 |
| 2.986 | 12.4 |
| 2.765 | 10.7 |
| 2.448 | 11.9 |
| 2.020 | 4.3 |
| 1.742 | 6.0 |
| 1.735 | 4.1 |

a b c (Å): 4.296 6.391 6.229
angles (deg): 90.00 117.52 90.00
Fractional coordinates of all 16 atoms:
B  0.141  0.042  0.146
B  0.141  0.458  0.646
B  0.859  0.542  0.354
B  0.859  0.958  0.854
H  0.092  0.512  0.811
H  0.092  0.988  0.311
H  0.151  0.624  0.524
H  0.151  0.876  0.024
H  0.382  0.154  0.177
H  0.382  0.346  0.677
H  0.618  0.654  0.323
H  0.618  0.846  0.823
H  0.849  0.124  0.976
H  0.849  0.376  0.476
H  0.908  0.012  0.689
H  0.908  0.488  0.189

[3]
Computed PXRD pattern of B5H9 for Cu Kα (λ = 1.5418 Å), from a structure optimized by DFT (PBE).
No peak broadening, texture or thermal motion is included.

Most intense lines, 15 to 90 degrees two-theta, low angle first:
| d [Å] | I (rel.) |
| --- | --- |
| 5.086 | 60.4 |
| 4.268 | 100.0 |
| 3.596 | 11.4 |
| 2.750 | 5.5 |
| 2.651 | 5.2 |
| 1.867 | 7.9 |
| 1.835 | 4.6 |
| 1.428 | 3.2 |
| 1.388 | 3.5 |
| 1.323 | 3.5 |

a b c (Å): 5.735 5.735 5.735
angles (deg): 102.34 102.34 124.93
Fractional coordinates of all 14 atoms:
B  0.000  0.000  0.000
B  0.612  0.787  0.824
B  0.787  0.612  0.824
B  0.787  0.963  0.176
B  0.963  0.787  0.176
H  0.153  0.813  0.340
H  0.224  0.224  0.000
H  0.473  0.813  0.660
H  0.484  0.484  0.734
H  0.484  0.750  0.000
H  0.750  0.484  0.000
H  0.750  0.750  0.266
H  0.813  0.153  0.340
H  0.813  0.473  0.660

What did the first record say?
Computed PXRD pattern of B2H5 for Cu Kα (λ = 1.5418 Å), from a structure optimized by DFT (PBE).
No peak broadening, texture or thermal motion is included.

Most intense lines, 15 to 90 degrees two-theta, low angle first:
| d [Å] | I (rel.) |
| --- | --- |
| 5.404 | 16.3 |
| 5.065 | 7.8 |
| 4.900 | 37.0 |
| 4.768 | 38.2 |
| 4.341 | 100.0 |
| 4.214 | 70.1 |
| 3.850 | 69.7 |
| 3.695 | 7.8 |
| 3.664 | 12.8 |
| 2.522 | 7.4 |

a b c (Å): 5.827 10.129 9.086
angles (deg): 90.00 111.96 90.00
Fractional coordinates of all 56 atoms:
B  0.056  0.203  0.380
B  0.056  0.297  0.880
B  0.106  0.587  0.278
B  0.106  0.913  0.778
B  0.253  0.731  0.270
B  0.253  0.769  0.770
B  0.399  0.576  0.248
B  0.399  0.924  0.748
B  0.601  0.076  0.252
B  0.601  0.424  0.752
B  0.747  0.231  0.230
B  0.747  0.269  0.730
B  0.894  0.087  0.222
B  0.894  0.413  0.722
B  0.944  0.703  0.120
B  0.944  0.797  0.620
H  0.071  0.567  0.397
H  0.071  0.933  0.897
H  0.077  0.179  0.514
H  0.077  0.321  0.014
H  0.092  0.071  0.343
H  0.092  0.429  0.843
H  0.137  0.705  0.644
H  0.137  0.795  0.144
H  0.207  0.012  0.741
H  0.207  0.488  0.241
H  0.219  0.235  0.862
H  0.219  0.265  0.362
H  0.308  0.700  0.884
H  0.308  0.800  0.384
H  0.395  0.546  0.118
H  0.395  0.954  0.618
H  0.427  0.042  0.139
H  0.427  0.458  0.639
H  0.436  0.712  0.229
H  0.436  0.788  0.729
H  0.564  0.212  0.271
H  0.564  0.288  0.771
H  0.573  0.542  0.361
H  0.573  0.958  0.861
H  0.605  0.046  0.382
H  0.605  0.454  0.882
H  0.692  0.200  0.616
H  0.692  0.300  0.116
H  0.781  0.735  0.638
H  0.781  0.765  0.138
H  0.793  0.512  0.759
H  0.793  0.988  0.259
H  0.863  0.205  0.856
H  0.863  0.295  0.356
H  0.908  0.571  0.157
H  0.908  0.929  0.657
H  0.923  0.679  0.986
H  0.923  0.821  0.486
H  0.929  0.067  0.103
H  0.929  0.433  0.603